Entry 1:
Starting from a cell relaxed with GGA-PBE, the powder XRD pattern of Nd5Y5Er2 was computed for copper Kα.

Main lines, in order of rising 2θ (10° ≤ 2θ ≤ 90°):
| d [Å] | 2θ (°) | I_rel |
| --- | --- | --- |
| 7.419 | 11.93 | 1.9 |
| 3.795 | 23.44 | 1.3 |
| 2.944 | 30.36 | 100.0 |
| 2.550 | 35.20 | 50.4 |
| 1.803 | 50.63 | 35.7 |
| 1.537 | 60.19 | 42.2 |
| 1.472 | 63.16 | 12.1 |
| 1.275 | 74.42 | 5.6 |
| 1.170 | 82.43 | 14.3 |
| 1.169 | 82.51 | 2.8 |
| 1.140 | 85.07 | 14.6 |
| 1.139 | 85.16 | 1.3 |

Crystal structure
abc: 15.291 5.102 11.405
angles: 90.00 116.60 90.00
Space group C2/m (No. 12)
Inequivalent atoms, fractional coordinates:
1 Nd 0.000 0.000 0.000 [2 per cell]
2 Nd 0.083 0.000 0.750 [4 per cell]
3 Nd 0.167 0.000 0.500 [4 per cell]
4 Y 0.000 0.500 0.500 [2 per cell]
5 Y 0.167 0.500 0.001 [4 per cell]
6 Y 0.248 0.000 0.248 [4 per cell]
7 Er 0.083 0.500 0.250 [4 per cell]

Entry 2:
Starting from a cell relaxed with GGA-PBE, the powder XRD pattern of NdEr4Zn4 was computed for copper Kα.

Main lines, in order of rising 2θ (10° ≤ 2θ ≤ 90°):
| d [Å] | 2θ (°) | I_rel |
| --- | --- | --- |
| 3.248 | 27.46 | 100.0 |
| 2.986 | 29.93 | 59.5 |
| 2.676 | 33.49 | 37.5 |
| 2.542 | 35.31 | 48.3 |
| 2.360 | 38.13 | 15.9 |
| 2.328 | 38.68 | 100.0 |
| 1.935 | 46.95 | 34.6 |
| 1.852 | 49.21 | 14.5 |
| 1.573 | 58.71 | 12.7 |
| 1.497 | 62.01 | 14.3 |
| 1.485 | 62.57 | 17.4 |
| 1.423 | 65.62 | 20.8 |

Crystal structure
abc: 9.442 9.442 5.084
angles: 90.00 90.00 90.00
Space group I4/m (No. 87)
Inequivalent atoms, fractional coordinates:
1 Nd 0.000 0.000 0.000 [2 per cell]
2 Er 0.106 0.350 0.000 [8 per cell]
3 Zn 0.081 0.184 0.500 [8 per cell]

Entry 3:
Starting from a cell relaxed with GGA-PBE, the powder XRD pattern of Nd3ErZn was computed for copper Kα.

Main lines, in order of rising 2θ (10° ≤ 2θ ≤ 90°):
| d [Å] | 2θ (°) | I_rel |
| --- | --- | --- |
| 2.900 | 30.84 | 100.0 |
| 2.860 | 31.27 | 79.4 |
| 2.840 | 31.50 | 81.1 |
| 2.694 | 33.26 | 91.2 |
| 2.667 | 33.60 | 68.4 |
| 2.628 | 34.12 | 93.3 |
| 1.927 | 47.17 | 38.4 |
| 1.838 | 49.60 | 41.8 |
| 1.744 | 52.47 | 23.1 |
| 1.486 | 62.49 | 23.0 |
| 1.464 | 63.56 | 24.4 |
| 1.460 | 63.77 | 22.4 |

Crystal structure
abc: 8.272 6.976 10.800
angles: 90.00 104.91 90.00
Space group P2/c (No. 13)
Inequivalent atoms, fractional coordinates:
1 Nd 0.042 0.246 0.014 [4 per cell]
2 Nd 0.236 0.488 0.302 [4 per cell]
3 Nd 0.397 0.244 0.586 [4 per cell]
4 Er 0.226 0.008 0.301 [4 per cell]
5 Zn 0.421 0.234 0.125 [4 per cell]

Entry 4:
Starting from a cell relaxed with GGA-PBE, the powder XRD pattern of Nd3Er2Zn3 was computed for copper Kα.

Main lines, in order of rising 2θ (10° ≤ 2θ ≤ 90°):
| d [Å] | 2θ (°) | I_rel |
| --- | --- | --- |
| 3.361 | 26.52 | 15.9 |
| 2.712 | 33.03 | 20.6 |
| 2.658 | 33.73 | 28.0 |
| 2.635 | 34.02 | 100.0 |
| 1.898 | 47.93 | 14.5 |
| 1.831 | 49.81 | 9.3 |
| 1.550 | 59.63 | 9.3 |
| 1.530 | 60.51 | 18.7 |
| 1.517 | 61.07 | 7.7 |
| 1.508 | 61.51 | 9.8 |
| 1.318 | 71.61 | 9.7 |
| 1.162 | 83.14 | 7.6 |

Crystal structure
abc: 3.661 5.315 21.693
angles: 90.00 90.00 90.00
Space group Immm (No. 71)
Inequivalent atoms, fractional coordinates:
1 Nd 0.000 0.000 0.000 [2 per cell]
2 Nd 0.000 0.500 0.120 [4 per cell]
3 Er 0.000 0.000 0.230 [4 per cell]
4 Zn 0.000 0.000 0.500 [2 per cell]
5 Zn 0.000 0.500 0.380 [4 per cell]

Entry 5:
Starting from a cell relaxed with GGA-PBE, the powder XRD pattern of Nd12Er7Zr was computed for copper Kα.

Main lines, in order of rising 2θ (10° ≤ 2θ ≤ 90°):
| d [Å] | 2θ (°) | I_rel |
| --- | --- | --- |
| 3.265 | 27.31 | 32.7 |
| 3.041 | 29.37 | 22.4 |
| 2.975 | 30.04 | 100.0 |
| 2.904 | 30.79 | 38.1 |
| 2.733 | 32.76 | 39.4 |
| 2.717 | 32.97 | 36.7 |
| 2.584 | 34.72 | 24.5 |
| 2.285 | 39.43 | 33.6 |
| 2.257 | 39.95 | 24.0 |
| 1.959 | 46.34 | 24.1 |
| 1.907 | 47.68 | 22.4 |
| 1.572 | 58.75 | 18.4 |

Crystal structure
abc: 19.5915 19.5915 6.1822
angles: 90.00 90.00 120.00
Space group R-3 (No. 148, hexagonal axes)
Inequivalent atoms, fractional coordinates:
1 Nd 0.0003 0.4127 0.0002 [18 per cell]
2 Nd 0.0984 0.5497 0.4758 [18 per cell]
3 Er 0.0000 0.0000 0.0000 [3 per cell]
4 Er 0.0795 0.9194 0.3043 [18 per cell]
5 Zr 0.0000 0.0000 0.5000 [3 per cell]

Entry 6:
Starting from a cell relaxed with GGA-PBE, the powder XRD pattern of Nd2Er12Zr was computed for copper Kα.

Main lines, in order of rising 2θ (10° ≤ 2θ ≤ 90°):
| d [Å] | 2θ (°) | I_rel |
| --- | --- | --- |
| 2.899 | 30.84 | 49.5 |
| 2.835 | 31.56 | 100.0 |
| 2.770 | 32.32 | 83.6 |
| 2.732 | 32.79 | 21.8 |
| 2.726 | 32.86 | 34.8 |
| 2.622 | 34.19 | 53.1 |
| 2.591 | 34.63 | 28.3 |
| 2.588 | 34.66 | 27.4 |
| 1.944 | 46.72 | 32.3 |
| 1.758 | 52.01 | 21.7 |
| 1.517 | 61.10 | 19.9 |
| 1.484 | 62.57 | 24.8 |

Crystal structure
abc: 7.033 11.079 23.878
angles: 90.00 94.15 90.00
Space group C2/m (No. 12)
Inequivalent atoms, fractional coordinates:
1 Nd 0.065 0.000 0.272 [4 per cell]
2 Nd 0.073 0.500 0.277 [4 per cell]
3 Er 0.016 0.255 0.063 [8 per cell]
4 Er 0.030 0.000 0.123 [4 per cell]
5 Er 0.032 0.500 0.129 [4 per cell]
6 Er 0.112 0.254 0.444 [8 per cell]
7 Er 0.139 0.000 0.575 [4 per cell]
8 Er 0.146 0.500 0.570 [4 per cell]
9 Er 0.168 0.252 0.672 [8 per cell]
10 Er 0.203 0.250 0.811 [8 per cell]
11 Zr 0.224 0.500 0.000 [4 per cell]

Entry 7:
Starting from a cell relaxed with GGA-PBE, the powder XRD pattern of NdErZr2 was computed for copper Kα.

Main lines, in order of rising 2θ (10° ≤ 2θ ≤ 90°):
| d [Å] | 2θ (°) | I_rel |
| --- | --- | --- |
| 5.513 | 16.08 | 10.6 |
| 2.868 | 31.18 | 6.8 |
| 2.757 | 32.48 | 33.5 |
| 2.747 | 32.59 | 100.0 |
| 2.381 | 37.78 | 66.7 |
| 1.686 | 54.42 | 22.9 |
| 1.682 | 54.57 | 22.9 |
| 1.438 | 64.83 | 13.4 |
| 1.435 | 64.98 | 40.1 |
| 1.374 | 68.28 | 11.5 |
| 1.191 | 80.71 | 7.2 |
| 1.091 | 89.90 | 11.5 |

Crystal structure
abc: 3.3632 3.3632 33.0791
angles: 90.00 90.00 120.00
Space group R-3m (No. 166, hexagonal axes)
Inequivalent atoms, fractional coordinates:
1 Nd 0.0000 0.0000 0.0000 [3 per cell]
2 Er 0.0000 0.0000 0.5000 [3 per cell]
3 Zr 0.0000 0.0000 0.2486 [6 per cell]

Entry 8:
Starting from a cell relaxed with GGA-PBE, the powder XRD pattern of Er3Ni4 was computed for copper Kα.

Main lines, in order of rising 2θ (10° ≤ 2θ ≤ 90°):
| d [Å] | 2θ (°) | I_rel |
| --- | --- | --- |
| 3.216 | 27.74 | 48.6 |
| 2.807 | 31.88 | 99.4 |
| 2.677 | 33.48 | 67.1 |
| 2.517 | 35.67 | 94.8 |
| 2.431 | 36.98 | 95.1 |
| 2.419 | 37.17 | 30.6 |
| 2.170 | 41.62 | 100.0 |
| 2.142 | 42.18 | 38.9 |
| 2.106 | 42.94 | 40.6 |
| 2.013 | 45.05 | 61.8 |
| 1.608 | 57.29 | 37.6 |
| 1.307 | 72.27 | 28.3 |

Crystal structure
abc: 4.025 9.676 12.854
angles: 90.00 90.00 90.00
Space group Cmcm (No. 63)
Inequivalent atoms, fractional coordinates:
1 Er 0.000 0.007 0.250 [4 per cell]
2 Er 0.000 0.290 0.102 [8 per cell]
3 Ni 0.000 0.000 0.000 [4 per cell]
4 Ni 0.000 0.285 0.750 [4 per cell]
5 Ni 0.000 0.424 0.588 [8 per cell]

Entry 9:
Starting from a cell relaxed with GGA-PBE, the powder XRD pattern of Er2Ni7 was computed for copper Kα.

Main lines, in order of rising 2θ (10° ≤ 2θ ≤ 90°):
| d [Å] | 2θ (°) | I_rel |
| --- | --- | --- |
| 2.751 | 32.55 | 45.5 |
| 2.597 | 34.54 | 36.3 |
| 2.458 | 36.56 | 51.6 |
| 2.125 | 42.55 | 36.3 |
| 2.095 | 43.19 | 100.0 |
| 2.003 | 45.28 | 14.5 |
| 1.924 | 47.23 | 11.2 |
| 1.469 | 63.30 | 13.9 |
| 1.444 | 64.52 | 11.6 |
| 1.407 | 66.43 | 12.0 |
| 1.337 | 70.40 | 22.2 |
| 1.229 | 77.71 | 20.9 |

Crystal structure
abc: 4.9152 4.9152 36.0509
angles: 90.00 90.00 120.00
Space group R-3m (No. 166, hexagonal axes)
Inequivalent atoms, fractional coordinates:
1 Er 0.0000 0.0000 0.0506 [6 per cell]
2 Er 0.0000 0.0000 0.1471 [6 per cell]
3 Ni 0.0000 0.0000 0.2781 [6 per cell]
4 Ni 0.0000 0.0000 0.3885 [6 per cell]
5 Ni 0.0000 0.0000 0.5000 [3 per cell]
6 Ni 0.0000 0.5000 0.0000 [9 per cell]
7 Ni 0.0014 0.5007 0.8900 [18 per cell]

Entry 10:
Starting from a cell relaxed with GGA-PBE, the powder XRD pattern of Er2Ni17 was computed for copper Kα.

Main lines, in order of rising 2θ (10° ≤ 2θ ≤ 90°):
| d [Å] | 2θ (°) | I_rel |
| --- | --- | --- |
| 2.876 | 31.10 | 37.1 |
| 2.387 | 37.69 | 42.0 |
| 2.140 | 42.23 | 39.3 |
| 2.067 | 43.80 | 62.3 |
| 2.050 | 44.18 | 100.0 |
| 2.002 | 45.30 | 31.2 |
| 1.837 | 49.64 | 20.0 |
| 1.456 | 63.96 | 15.0 |
| 1.438 | 64.84 | 16.7 |
| 1.303 | 72.55 | 15.6 |
| 1.193 | 80.48 | 18.9 |
| 1.165 | 82.88 | 20.0 |

Crystal structure
abc: 8.2682 8.2682 8.0073
angles: 90.00 90.00 120.00
Space group P6_3/mmc (No. 194)
Inequivalent atoms, fractional coordinates:
1 Er 0.0000 0.0000 0.2500 [2 per cell]
2 Er 0.3333 0.6667 0.2500 [2 per cell]
3 Ni 0.0000 0.5000 0.0000 [6 per cell]
4 Ni 0.0426 0.3703 0.7500 [12 per cell]
5 Ni 0.1655 0.3310 0.0215 [12 per cell]
6 Ni 0.3333 0.6667 0.6015 [4 per cell]